Theoretical powder XRD pattern
Compound: BaNaLaWO6
Radiation: copper Kα
Structure: a PBE+U-relaxed structure
Lines closer than 0.1° are merged.

Cell and atoms:
```
data_BaNaLaWO6
_chemical_formula_sum 'Ba4 Na4 La4 W4 O24'
_symmetry_space_group_name_H-M 'P 1'
_symmetry_Int_Tables_number 1
_cell_length_a 8.5280
_cell_length_b 8.5390
_cell_length_c 8.5679
_cell_angle_alpha 90.00
_cell_angle_beta 90.00
_cell_angle_gamma 90.00
loop_
_symmetry_equiv_pos_as_xyz
'x,y,z'
loop_
_atom_site_label
_atom_site_fract_x
_atom_site_fract_y
_atom_site_fract_z
Ba1 0.2500 0.2500 0.2500
Ba2 0.2500 0.2500 0.7500
Ba3 0.7500 0.7500 0.2500
Ba4 0.7500 0.7500 0.7500
Na1 0.2500 0.7500 0.2500
Na2 0.2500 0.7500 0.7500
Na3 0.7500 0.2500 0.2500
Na4 0.7500 0.2500 0.7500
La1 0.0000 0.0000 0.0000
La2 0.0000 0.5000 0.5000
La3 0.5000 0.0000 0.5000
La4 0.5000 0.5000 0.0000
W1 0.0000 0.0000 0.5000
W2 0.0000 0.5000 0.0000
W3 0.5000 0.0000 0.0000
W4 0.5000 0.5000 0.5000
O1 0.0366 0.2255 0.4777
O2 0.0366 0.2745 0.0223
O3 0.0404 0.5307 0.2233
O4 0.0404 0.9693 0.2767
O5 0.2235 0.5252 0.9549
O6 0.2235 0.9748 0.5451
O7 0.2765 0.5252 0.5451
O8 0.2765 0.9748 0.9549
O9 0.4596 0.5307 0.2767
O10 0.4596 0.9693 0.2233
O11 0.4634 0.2255 0.0223
O12 0.4634 0.2745 0.4777
O13 0.5366 0.7255 0.5223
O14 0.5366 0.7745 0.9777
O15 0.5404 0.0307 0.7767
O16 0.5404 0.4693 0.7233
O17 0.7235 0.0252 0.0451
O18 0.7235 0.4748 0.4549
O19 0.7765 0.0252 0.4549
O20 0.7765 0.4748 0.0451
O21 0.9596 0.0307 0.7233
O22 0.9596 0.4693 0.7767
O23 0.9634 0.7255 0.9777
O24 0.9634 0.7745 0.5223
```

The 10 most intense peaks (2θ from 5° to 70°), in order of falling intensity:
2θ (°), I/Imax
29.57, 100
52.43, 29
20.79, 23
42.37, 19
52.52, 15
61.33, 11
14.68, 10
42.19, 9
69.66, 9
69.40, 6

=====

Theoretical powder XRD pattern
Compound: Ga2MoSe2O10
Radiation: copper Kα
Structure: a PBE+U-relaxed structure
Lines closer than 0.1° are merged.

Cell and atoms:
```
data_Ga2MoSe2O10
_chemical_formula_sum 'Ga8 Mo4 Se8 O40'
_symmetry_space_group_name_H-M 'P 1'
_symmetry_Int_Tables_number 1
_cell_length_a 8.9475
_cell_length_b 6.1454
_cell_length_c 15.3178
_cell_angle_alpha 90.00
_cell_angle_beta 90.00
_cell_angle_gamma 90.00
loop_
_symmetry_equiv_pos_as_xyz
'x,y,z'
loop_
_atom_site_label
_atom_site_fract_x
_atom_site_fract_y
_atom_site_fract_z
Ga1 0.0058 0.0065 0.1478
Ga2 0.0058 0.4935 0.1478
Ga3 0.4942 0.5065 0.6478
Ga4 0.4942 0.9935 0.6478
Ga5 0.5058 0.0065 0.3522
Ga6 0.5058 0.4935 0.3522
Ga7 0.9942 0.5065 0.8522
Ga8 0.9942 0.9935 0.8522
Mo1 0.1630 0.7500 0.6628
Mo2 0.3370 0.2500 0.1628
Mo3 0.6630 0.7500 0.8372
Mo4 0.8370 0.2500 0.3372
Se1 0.1937 0.7500 0.3062
Se2 0.2262 0.7500 0.9912
Se3 0.2738 0.2500 0.4912
Se4 0.3063 0.2500 0.8062
Se5 0.6937 0.7500 0.1938
Se6 0.7262 0.7500 0.5088
Se7 0.7738 0.2500 0.0088
Se8 0.8063 0.2500 0.6938
O1 0.0795 0.5280 0.6132
O2 0.0795 0.9720 0.6132
O3 0.0848 0.7500 0.7789
O4 0.0948 0.7500 0.0801
O5 0.1050 0.2500 0.7986
O6 0.1341 0.2500 0.1102
O7 0.1617 0.5286 0.9343
O8 0.1617 0.9714 0.9343
O9 0.1658 0.5286 0.2383
O10 0.1658 0.9714 0.2383
O11 0.3342 0.0286 0.7383
O12 0.3342 0.4714 0.7383
O13 0.3383 0.0286 0.4343
O14 0.3383 0.4714 0.4343
O15 0.3659 0.7500 0.6102
O16 0.3950 0.7500 0.2986
O17 0.4052 0.2500 0.5801
O18 0.4152 0.2500 0.2789
O19 0.4205 0.0280 0.1132
O20 0.4205 0.4720 0.1132
O21 0.5795 0.5280 0.8868
O22 0.5795 0.9720 0.8868
O23 0.5848 0.7500 0.7211
O24 0.5948 0.7500 0.4199
O25 0.6050 0.2500 0.7014
O26 0.6341 0.2500 0.3898
O27 0.6617 0.5286 0.5657
O28 0.6617 0.9714 0.5657
O29 0.6658 0.5286 0.2617
O30 0.6658 0.9714 0.2617
O31 0.8342 0.0286 0.7617
O32 0.8342 0.4714 0.7617
O33 0.8383 0.0286 0.0657
O34 0.8383 0.4714 0.0657
O35 0.8659 0.7500 0.8898
O36 0.8950 0.7500 0.2014
O37 0.9052 0.2500 0.9199
O38 0.9152 0.2500 0.2211
O39 0.9205 0.0280 0.3868
O40 0.9205 0.4720 0.3868
```

The 10 most intense peaks (2θ from 5° to 70°), in order of falling intensity:
2θ (°), I/Imax
24.76, 100
11.45, 40
34.84, 36
35.44, 32
24.61, 27
35.54, 23
11.55, 22
30.73, 21
50.78, 19
62.80, 16

=====

Theoretical powder XRD pattern
Compound: YV2O4
Radiation: copper Kα
Structure: a PBE+U-relaxed structure
Lines closer than 0.1° are merged.

Cell and atoms:
```
data_YV2O4
_chemical_formula_sum 'Y2 V4 O8'
_symmetry_space_group_name_H-M 'P 1'
_symmetry_Int_Tables_number 1
_cell_length_a 6.3630
_cell_length_b 6.3630
_cell_length_c 6.3630
_cell_angle_alpha 120.96
_cell_angle_beta 117.99
_cell_angle_gamma 90.93
loop_
_symmetry_equiv_pos_as_xyz
'x,y,z'
loop_
_atom_site_label
_atom_site_fract_x
_atom_site_fract_y
_atom_site_fract_z
Y1 0.0000 0.0000 0.0000
Y2 0.5000 0.0000 0.5000
V1 0.0000 0.0000 0.5000
V2 0.0000 0.5000 0.0000
V3 0.3772 0.6272 0.7500
V4 0.6228 0.3728 0.2500
O1 0.2365 0.7441 0.4925
O2 0.2440 0.2427 0.4987
O3 0.2440 0.7454 0.0013
O4 0.2484 0.2559 0.9925
O5 0.7516 0.7441 0.0075
O6 0.7560 0.2546 0.9987
O7 0.7560 0.7573 0.5013
O8 0.7635 0.2559 0.5075
```

The 10 most intense peaks (2θ from 5° to 70°), in order of falling intensity:
2θ (°), I/Imax
32.41, 100
58.02, 68
33.33, 52
17.28, 45
33.23, 45
39.79, 44
28.06, 24
52.96, 24
33.06, 21
40.42, 21

=====

Theoretical powder XRD pattern
Compound: K2Li2CoO4
Radiation: copper Kα
Structure: a PBE+U-relaxed structure
Lines closer than 0.1° are merged.

Cell and atoms:
```
data_K2Li2CoO4
_chemical_formula_sum 'K8 Li8 Co4 O16'
_symmetry_space_group_name_H-M 'P 1'
_symmetry_Int_Tables_number 1
_cell_length_a 5.6011
_cell_length_b 8.9940
_cell_length_c 10.4001
_cell_angle_alpha 86.99
_cell_angle_beta 82.39
_cell_angle_gamma 89.60
loop_
_symmetry_equiv_pos_as_xyz
'x,y,z'
loop_
_atom_site_label
_atom_site_fract_x
_atom_site_fract_y
_atom_site_fract_z
K1 0.0000 0.0000 0.0000
K2 0.0078 0.8562 0.4069
K3 0.1184 0.5953 0.1665
K4 0.2120 0.2385 0.6912
K5 0.4927 0.5514 0.4407
K6 0.5183 0.7591 0.9549
K7 0.7009 0.0333 0.6824
K8 0.7196 0.3292 0.1878
Li1 0.1192 0.5154 0.8730
Li2 0.2516 0.3024 0.0107
Li3 0.4032 0.0788 0.1397
Li4 0.4295 0.7951 0.6065
Li5 0.5336 0.5504 0.7386
Li6 0.6169 0.0681 0.3863
Li7 0.7517 0.3008 0.5087
Li8 0.9503 0.5223 0.6020
Co1 0.0249 0.7491 0.7461
Co2 0.1633 0.2679 0.3744
Co3 0.5390 0.8442 0.2513
Co4 0.6664 0.3253 0.8709
O1 0.0125 0.4429 0.4255
O2 0.1740 0.9227 0.7062
O3 0.2238 0.5980 0.6790
O4 0.2272 0.2661 0.1982
O5 0.2748 0.8752 0.1712
O6 0.4473 0.2522 0.4419
O7 0.4476 0.4696 0.9212
O8 0.4897 0.8545 0.4288
O9 0.5036 0.1565 0.9261
O10 0.6551 0.6655 0.2101
O11 0.6956 0.0174 0.2057
O12 0.7177 0.3591 0.6918
O13 0.7404 0.7238 0.6775
O14 0.9404 0.1356 0.4509
O15 0.9523 0.3305 0.9324
O16 0.9969 0.7125 0.9163
```

The 10 most intense peaks (2θ from 5° to 70°), in order of falling intensity:
2θ (°), I/Imax
34.86, 100
19.77, 97
34.62, 96
34.32, 83
33.80, 81
21.36, 78
34.02, 67
21.78, 62
30.66, 60
17.23, 54

=====

Theoretical powder XRD pattern
Compound: Fe3TeO8
Radiation: copper Kα
Structure: a PBE+U-relaxed structure
Lines closer than 0.1° are merged.

Cell and atoms:
```
data_Fe3TeO8
_chemical_formula_sum 'Fe6 Te2 O16'
_symmetry_space_group_name_H-M 'P 1'
_symmetry_Int_Tables_number 1
_cell_length_a 5.9406
_cell_length_b 5.9406
_cell_length_c 9.2823
_cell_angle_alpha 90.00
_cell_angle_beta 90.00
_cell_angle_gamma 120.00
loop_
_symmetry_equiv_pos_as_xyz
'x,y,z'
loop_
_atom_site_label
_atom_site_fract_x
_atom_site_fract_y
_atom_site_fract_z
Fe1 0.1678 0.3356 0.0000
Fe2 0.1678 0.8322 0.0000
Fe3 0.3356 0.1678 0.5000
Fe4 0.6644 0.8322 0.0000
Fe5 0.8322 0.1678 0.5000
Fe6 0.8322 0.6644 0.5000
Te1 0.3333 0.6667 0.2786
Te2 0.6667 0.3333 0.7786
O1 0.0000 0.0000 0.0876
O2 0.0000 0.0000 0.5876
O3 0.0404 0.5202 0.1403
O4 0.1728 0.3456 0.3895
O5 0.1728 0.8272 0.3895
O6 0.3333 0.6667 0.9068
O7 0.3456 0.1728 0.8895
O8 0.4798 0.5202 0.1403
O9 0.4798 0.9596 0.1403
O10 0.5202 0.0404 0.6403
O11 0.5202 0.4798 0.6403
O12 0.6544 0.8272 0.3895
O13 0.6667 0.3333 0.4068
O14 0.8272 0.1728 0.8895
O15 0.8272 0.6544 0.8895
O16 0.9596 0.4798 0.6403
```

The 10 most intense peaks (2θ from 5° to 70°), in order of falling intensity:
2θ (°), I/Imax
19.73, 100
35.89, 41
25.85, 34
33.81, 33
36.24, 31
45.88, 24
61.61, 24
62.54, 22
55.84, 19
40.08, 15

=====

Number 4 is which compound? K2Li2CoO4

=====

What did the fourth record say?
Theoretical powder XRD pattern
Compound: K2Li2CoO4
Radiation: copper Kα
Structure: a PBE+U-relaxed structure
Lines closer than 0.1° are merged.

Cell and atoms:
```
data_K2Li2CoO4
_chemical_formula_sum 'K8 Li8 Co4 O16'
_symmetry_space_group_name_H-M 'P 1'
_symmetry_Int_Tables_number 1
_cell_length_a 5.6011
_cell_length_b 8.9940
_cell_length_c 10.4001
_cell_angle_alpha 86.99
_cell_angle_beta 82.39
_cell_angle_gamma 89.60
loop_
_symmetry_equiv_pos_as_xyz
'x,y,z'
loop_
_atom_site_label
_atom_site_fract_x
_atom_site_fract_y
_atom_site_fract_z
K1 0.0000 0.0000 0.0000
K2 0.0078 0.8562 0.4069
K3 0.1184 0.5953 0.1665
K4 0.2120 0.2385 0.6912
K5 0.4927 0.5514 0.4407
K6 0.5183 0.7591 0.9549
K7 0.7009 0.0333 0.6824
K8 0.7196 0.3292 0.1878
Li1 0.1192 0.5154 0.8730
Li2 0.2516 0.3024 0.0107
Li3 0.4032 0.0788 0.1397
Li4 0.4295 0.7951 0.6065
Li5 0.5336 0.5504 0.7386
Li6 0.6169 0.0681 0.3863
Li7 0.7517 0.3008 0.5087
Li8 0.9503 0.5223 0.6020
Co1 0.0249 0.7491 0.7461
Co2 0.1633 0.2679 0.3744
Co3 0.5390 0.8442 0.2513
Co4 0.6664 0.3253 0.8709
O1 0.0125 0.4429 0.4255
O2 0.1740 0.9227 0.7062
O3 0.2238 0.5980 0.6790
O4 0.2272 0.2661 0.1982
O5 0.2748 0.8752 0.1712
O6 0.4473 0.2522 0.4419
O7 0.4476 0.4696 0.9212
O8 0.4897 0.8545 0.4288
O9 0.5036 0.1565 0.9261
O10 0.6551 0.6655 0.2101
O11 0.6956 0.0174 0.2057
O12 0.7177 0.3591 0.6918
O13 0.7404 0.7238 0.6775
O14 0.9404 0.1356 0.4509
O15 0.9523 0.3305 0.9324
O16 0.9969 0.7125 0.9163
```

The 10 most intense peaks (2θ from 5° to 70°), in order of falling intensity:
2θ (°), I/Imax
34.86, 100
19.77, 97
34.62, 96
34.32, 83
33.80, 81
21.36, 78
34.02, 67
21.78, 62
30.66, 60
17.23, 54